# Ti3TcSn3
Theoretical PXRD pattern, λ = 1.5418 Å (Cu Kα). Input: a DFT-relaxed cell (PBE, Alexandria).

Cell and atoms:
Cell lengths 8.8938, 8.8938, 4.1572 Å; angles 90.00, 90.00, 120.00 degrees
Space group P6_3/mmc (No. 194)
Symmetry-distinct sites (fractional):
Ti 0.1133 0.5566 0.2500 x6
Tc 0.3333 0.6667 0.7500 x2
Sn 0.1558 0.3116 0.7500 x6

The 8 most intense peaks (10° ≤ 2θ ≤ 90°), by intensity:
2theta	intensity	h k l
37.72	100	2 1 1
31.67	50	2 0 1
40.57	45	2 2 0
61.02	28	2 2 2
43.54	23	0 0 2
24.33	21	1 0 1
23.09	21	2 0 0
64.51	15	5 0 1